Li3MnVP3O12: theoretical X-ray diffraction stick pattern (CuKα), based on the GGA+U geometry in the Materials Project.
Intensities are scaled so that the largest is 100.

Principal peaks in the range 2θ = 10–80°, low angle first:
2θ/deg  d/Å  I (rel.)  (hkl)
14.26  6.210  93.0  1 1 1
19.35  4.587  88.7  1 1 -1
23.92  3.720  100.0  1 -1 0
24.00  3.708  49.3  2 1 -1
28.66  3.115  19.2  0 2 0
28.80  3.099  41.1  2 2 2
31.00  2.885  22.5  1 -1 1
31.07  2.878  31.2  1 2 -1
31.17  2.870  53.3  1 2 3
32.65  2.742  19.6  -1 2 2

Atomic structure:
a b c (Å): 8.418 8.438 9.232
angles (deg): 62.87 89.85 60.12
Space group P1 (No. 1)
One atom of each set of equivalent atoms:
Li: 0.000 0.000 0.000 [1 per cell]
Li: 0.059 0.538 0.272 [1 per cell]
Li: 0.284 0.564 0.764 [1 per cell]
Li: 0.477 0.854 0.291 [1 per cell]
Li: 0.671 0.732 0.013 [1 per cell]
Li: 0.793 0.123 0.275 [1 per cell]
Mn: 0.590 0.217 0.708 [1 per cell]
Mn: 0.884 0.631 0.585 [1 per cell]
V: 0.081 0.235 0.181 [1 per cell]
V: 0.396 0.609 0.114 [1 per cell]
P: 0.002 0.715 0.901 [1 per cell]
P: 0.184 0.735 0.387 [1 per cell]
P: 0.284 0.118 0.906 [1 per cell]
P: 0.468 0.143 0.396 [1 per cell]
P: 0.684 0.434 0.899 [1 per cell]
P: 0.786 0.421 0.391 [1 per cell]
O: 0.137 0.308 0.740 [1 per cell]
O: 0.206 0.669 0.248 [1 per cell]
O: 0.221 0.623 0.966 [1 per cell]
O: 0.223 0.917 0.324 [1 per cell]
O: 0.245 0.184 0.048 [1 per cell]
O: 0.251 0.248 0.316 [1 per cell]
O: 0.257 0.925 0.976 [1 per cell]
O: 0.328 0.548 0.560 [1 per cell]
O: 0.492 0.033 0.912 [1 per cell]
O: 0.502 0.124 0.564 [1 per cell]
O: 0.519 0.309 0.264 [1 per cell]
O: 0.572 0.346 0.876 [1 per cell]
O: 0.575 0.577 0.978 [1 per cell]
O: 0.586 0.613 0.247 [1 per cell]
O: 0.593 0.938 0.393 [1 per cell]
O: 0.720 0.560 0.740 [1 per cell]
O: 0.760 0.292 0.554 [1 per cell]
O: 0.876 0.929 0.892 [1 per cell]
O: 0.882 0.234 0.047 [1 per cell]
O: 0.882 0.532 0.400 [1 per cell]
O: 0.905 0.275 0.315 [1 per cell]
O: 0.952 0.560 0.041 [1 per cell]
O: 0.976 0.823 0.390 [1 per cell]
O: 0.986 0.717 0.737 [1 per cell]